The following is a theoretical XRD peak list of ZrBeB. It was derived from a DFT-relaxed cell (GGA-PBE, the Materials Project), using copper Kα.
Peak positions follow from Bragg's law for the DFT cell and can differ from measured ones.

Most intense lines, 10° ≤ 2θ ≤ 90°, low angle first:
- 2θ = 25.55°, intensity 34, (0 0 1)
- 2θ = 30.19°, intensity 80, (1 0 0)
- 2θ = 39.95°, intensity 100, (1 0 1)
- 2θ = 52.49°, intensity 8, (0 0 2)
- 2θ = 53.63°, intensity 23, (1 1 0)
- 2θ = 60.31°, intensity 19, (1 1 1)
- 2θ = 61.75°, intensity 20, (1 0 2)
- 2θ = 62.78°, intensity 10, (2 0 0)
- 2θ = 68.92°, intensity 19, (2 0 1)
- 2θ = 78.35°, intensity 15, (1 1 2)

Structure:
```
data_ZrBeB
_symmetry_space_group_name_H-M 'P -6 m 2'
_symmetry_Int_Tables_number 187
_symmetry_space_group_name_Hall 'P -6 2'
_cell_length_a 3.4181
_cell_length_b 3.4181
_cell_length_c 3.4866
_cell_angle_alpha 90.00
_cell_angle_beta 90.00
_cell_angle_gamma 120.00
loop_
_atom_site_label
_atom_site_fract_x
_atom_site_fract_y
_atom_site_fract_z
Zr1 0.0000 0.0000 0.0000
Be1 0.3333 0.6667 0.5000
B1 0.6667 0.3333 0.5000
```